# ZnCdC4S4N4
Computed powder diffractogram, Cu Kα, 1.54184 Å. Input: a crystal structure in the Materials Project, relaxed with GGA-PBE.
Intensities are scaled so that the largest is 1000.

```
ZnCdC4S4N4
1.0
-5.6132 5.6132 2.3630
5.6132 -5.6132 2.3630
5.6132 5.6132 -2.3630
Zn Cd C S N
1 1 4 4 4
Cartesian
0.0000 0.0000 0.0000
5.6132 0.0000 1.1815
3.0939 4.7798 -0.6737
6.4465 3.0939 0.6737
2.5192 0.8333 1.6893
-0.8333 2.5192 3.0367
6.9193 1.7800 -0.1851
1.7800 4.3070 0.1851
3.8331 1.3062 2.5481
-1.3062 3.8331 2.1779
4.0619 5.0892 -1.2672
1.5513 0.5239 1.0958
6.1371 4.0619 1.2672
-0.5239 1.5513 3.6301
```

Largest 10 diffraction maxima, in order of rising 2θ, 2θ from 10° to 90°:
15.79 deg, rel. 813; 20.39 deg, rel. 457; 22.40 deg, rel. 239; 25.89 deg, rel. 1000; 30.47 deg, rel. 428; 34.50 deg, rel. 352; 35.77 deg, rel. 281; 38.15 deg, rel. 191; 44.68 deg, rel. 284; 46.15 deg, rel. 439